Calculated XRD peak list
Compound: YBiO12
Radiation: copper Kα
Structure: the GGA-PBE geometry in Alexandria
No peak broadening, texture or thermal motion is included.

Structure:
```
data_YBiO12
_chemical_formula_sum 'Y2 Bi2 O24'
_symmetry_space_group_name_H-M 'P 1'
_symmetry_Int_Tables_number 1
_symmetry_space_group_name_Hall 'P 1'
_cell_length_a 7.664
_cell_length_b 7.664
_cell_length_c 7.664
_cell_angle_alpha 60.00
_cell_angle_beta 60.00
_cell_angle_gamma 60.00
loop_
_atom_site_label
_atom_site_fract_x
_atom_site_fract_y
_atom_site_fract_z
_atom_site_occupancy
Y1 0.125 0.125 0.125 1
Y2 0.875 0.875 0.875 1
Bi1 0.375 0.375 0.375 1
Bi2 0.625 0.625 0.625 1
O1 0.137 0.137 0.441 1
O2 0.137 0.137 0.786 1
O3 0.137 0.441 0.137 1
O4 0.137 0.441 0.786 1
O5 0.137 0.786 0.137 1
O6 0.137 0.786 0.441 1
O7 0.214 0.559 0.863 1
O8 0.214 0.863 0.559 1
O9 0.214 0.863 0.863 1
O10 0.441 0.137 0.137 1
O11 0.441 0.137 0.786 1
O12 0.441 0.786 0.137 1
O13 0.559 0.214 0.863 1
O14 0.559 0.863 0.214 1
O15 0.559 0.863 0.863 1
O16 0.786 0.137 0.137 1
O17 0.786 0.137 0.441 1
O18 0.786 0.441 0.137 1
O19 0.863 0.214 0.559 1
O20 0.863 0.214 0.863 1
O21 0.863 0.559 0.214 1
O22 0.863 0.559 0.863 1
O23 0.863 0.863 0.214 1
O24 0.863 0.863 0.559 1
```

The 6 most intense peaks (2θ from 10° to 90°), most intense first:
- 23.21 deg, I 100.0
- 40.79 deg, I 90.9
- 53.47 deg, I 32.3
- 33.06 deg, I 27.8
- 64.32 deg, I 27.3
- 27.29 deg, I 27.2